Starting from a PBE-relaxed structure, the powder diffractogram of Hg was simulated for Cu Kα X-rays.

Cell and atoms:
Cell lengths 8.7856, 8.7856, 8.7856 Å; angles 109.47, 109.47, 109.47 degrees
Positions (direct):
Hg 0.0000 0.0000 0.2408
Hg 0.0000 0.0000 0.6052
Hg 0.0000 0.2408 0.0000
Hg 0.0000 0.6052 0.0000
Hg 0.2408 0.0000 0.0000
Hg 0.3948 0.3948 0.3948
Hg 0.6052 0.0000 0.0000
Hg 0.7592 0.7592 0.7592

Most intense lines, 10 to 90 degrees two-theta, low angle first:
2θ (°)	Rel. int.
12.34	100
17.48	31
24.82	20
27.81	43
33.04	76
37.62	62
55.87	36
67.89	22

Starting from a PBE-relaxed structure, the powder diffractogram of Sr2UCuS6 was simulated for Cu Kα X-rays.

Cell and atoms:
Cell lengths 6.8092, 7.2855, 11.4977 Å; angles 90.00, 125.16, 90.00 degrees
Positions (direct):
Sr 0.2248 0.0826 0.2470
Sr 0.2248 0.4174 0.7470
Sr 0.7752 0.5826 0.2530
Sr 0.7752 0.9174 0.7530
U 0.5000 0.0000 0.0000
U 0.5000 0.5000 0.5000
Cu 0.0000 0.0000 0.5000
Cu 0.0000 0.5000 0.0000
S 0.1521 0.1908 0.9520
S 0.1521 0.3093 0.4520
S 0.2609 0.7014 0.9554
S 0.2609 0.7986 0.4554
S 0.3263 0.0151 0.7353
S 0.3263 0.4849 0.2353
S 0.6737 0.5151 0.7647
S 0.6737 0.9849 0.2647
S 0.7391 0.2014 0.5446
S 0.7391 0.2986 0.0446
S 0.8479 0.6908 0.5480
S 0.8479 0.8092 0.0480

Most intense lines, 10 to 90 degrees two-theta, low angle first:
2θ (°)	Rel. int.
15.39	34
17.83	36
24.44	30
25.89	58
26.24	100
36.11	44
38.30	30
46.50	31

Starting from a PBE-relaxed structure, the powder diffractogram of La2Pr3Er7 was simulated for Cu Kα X-rays.

Cell and atoms:
Cell lengths 6.4043, 3.5497, 17.6537 Å; angles 90.00, 96.31, 90.00 degrees
Positions (direct):
La 0.0503 0.0000 0.1740
La 0.9497 0.0000 0.8260
Pr 0.4590 0.5000 0.8408
Pr 0.5000 0.0000 0.5000
Pr 0.5410 0.5000 0.1592
Er 0.0000 0.5000 0.5000
Er 0.2255 0.0000 0.6632
Er 0.2551 0.0000 0.0014
Er 0.2730 0.5000 0.3379
Er 0.7270 0.5000 0.6621
Er 0.7449 0.0000 0.9986
Er 0.7745 0.0000 0.3368

Most intense lines, 10 to 90 degrees two-theta, low angle first:
2θ (°)	Rel. int.
29.51	63
30.46	89
30.57	96
31.11	100
33.50	66
34.52	70
49.85	35
61.04	51

Starting from a PBE-relaxed structure, the powder diffractogram of Tl4Hg6Te was simulated for Cu Kα X-rays.

Cell and atoms:
Cell lengths 7.5302, 7.5302, 12.5843 Å; angles 90.00, 90.00, 107.37 degrees
Positions (direct):
Tl 0.1063 0.8937 0.5000
Tl 0.1922 0.4073 0.4334
Tl 0.3607 0.6393 0.9195
Tl 0.4073 0.1922 0.9334
Tl 0.5927 0.8078 0.4334
Tl 0.6393 0.3607 0.4195
Tl 0.8078 0.5927 0.9334
Tl 0.8937 0.1063 0.0000
Hg 0.0257 0.3617 0.7847
Hg 0.0796 0.9204 0.7785
Hg 0.2394 0.3953 0.1549
Hg 0.3263 0.6737 0.6529
Hg 0.3617 0.0257 0.2847
Hg 0.3953 0.2394 0.6549
Hg 0.6047 0.7606 0.1549
Hg 0.6383 0.9743 0.7847
Hg 0.6737 0.3263 0.1529
Hg 0.7606 0.6047 0.6549
Hg 0.9204 0.0796 0.2785
Hg 0.9743 0.6383 0.2847
Te 0.1537 0.8463 0.0734
Te 0.8463 0.1537 0.5734

Most intense lines, 10 to 90 degrees two-theta, low angle first:
2θ (°)	Rel. int.
29.44	29
30.30	40
31.02	50
31.79	36
32.34	16
32.82	100
37.59	18
58.02	16

Starting from a PBE-relaxed structure, the powder diffractogram of PmMgAlGe2 was simulated for Cu Kα X-rays.

Cell and atoms:
Cell lengths 7.3481, 7.3481, 10.0788 Å; angles 125.90, 125.90, 33.72 degrees
Positions (direct):
Pm 0.2138 0.2138 0.1473
Pm 0.7862 0.7862 0.8527
Mg 0.3596 0.3596 0.5963
Mg 0.6404 0.6404 0.4037
Al 0.0515 0.0515 0.7147
Al 0.9485 0.9485 0.2853
Ge 0.1605 0.1605 0.5830
Ge 0.4143 0.4143 0.1136
Ge 0.5857 0.5857 0.8864
Ge 0.8395 0.8395 0.4170

Most intense lines, 10 to 90 degrees two-theta, low angle first:
2θ (°)	Rel. int.
15.95	46
25.48	93
27.16	44
28.00	100
35.20	84
42.41	39
43.67	60
46.05	35